[1]
CeSe2: calculated powder X-ray diffraction pattern (Cu Kα, 1.54184 Å), based on the GGA-PBE geometry in the Materials Project.
Lines closer than 0.1° are merged.

Cell and atoms:
```
data_CeSe2
_chemical_formula_sum 'Ce16 Se32'
_cell_length_a 15.460
_cell_length_b 15.460
_cell_length_c 13.936
_cell_angle_alpha 90.00
_cell_angle_beta 90.00
_cell_angle_gamma 90.00
_space_group_name_H-M_alt 'I -4 2 m'
_space_group_IT_number 121
_space_group_name_Hall 'I -4 2'
loop_
_atom_site_label
_atom_site_type_symbol
_atom_site_fract_x
_atom_site_fract_y
_atom_site_fract_z
_atom_site_occupancy
Ce1 Ce 0.063 0.296 0.182 1
Se1 Se 0.000 0.284 0.000 1
Se2 Se 0.070 0.324 0.693 1
Se3 Se 0.145 0.145 0.227 1
```

Largest 8 diffraction maxima, in order of rising 2θ, 10° ≤ 2θ ≤ 90°:
index, 2θ/deg, d/Å, I_rel
0 0 2, 12.7, 6.968, 89.8
2 1 1, 14.3, 6.194, 93.1
1 1 2, 15.1, 5.876, 54.3
2 2 0, 16.2, 5.466, 100.0
2 2 2, 20.7, 4.301, 28.1
3 1 2, 22.2, 4.002, 33.6
4 4 2, 35.3, 2.544, 29.5
4 4 4, 42.0, 2.150, 37.1

[2]
Sr3CaI8: calculated powder X-ray diffraction pattern (Cu Kα, 1.54184 Å), based on the GGA-PBE geometry in the Materials Project.
Lines closer than 0.1° are merged.

Cell and atoms:
```
data_Sr3CaI8
_chemical_formula_sum 'Sr6 Ca2 I16'
_cell_length_a 8.010
_cell_length_b 8.010
_cell_length_c 16.011
_cell_angle_alpha 90.00
_cell_angle_beta 90.00
_cell_angle_gamma 90.00
_space_group_name_H-M_alt 'I 4/m m m'
_space_group_IT_number 139
_space_group_name_Hall '-I 4 2'
loop_
_atom_site_label
_atom_site_type_symbol
_atom_site_fract_x
_atom_site_fract_y
_atom_site_fract_z
_atom_site_occupancy
Sr1 Sr 0.000 0.000 0.000 1
Sr2 Sr 0.000 0.500 0.250 1
Ca1 Ca 0.000 0.000 0.500 1
I1 I 0.247 0.247 0.377 1
```

Largest 8 diffraction maxima, in order of rising 2θ, 10° ≤ 2θ ≤ 90°:
index, 2θ/deg, d/Å, I_rel
1 1 2, 19.2, 4.624, 12.9
2 0 0, 22.2, 4.004, 34.7
2 2 0, 31.6, 2.831, 100.0
4 0 0, 45.3, 2.002, 18.1
4 2 0, 51.0, 1.791, 14.3
4 2 4, 56.3, 1.635, 37.5
4 4 0, 66.0, 1.416, 11.5
6 0 4, 75.0, 1.266, 15.9